Structure and theoretical powder XRD pattern of SrNdBeN2 (the PBE geometry in Alexandria; a wavelength of 1.5418 Å).

Top 10 peaks for 2θ from 10° to 90°, sorted by position:
23.60°, I = 100, hkl 1 1 0; 25.72°, I = 31, hkl 0 0 2; 33.48°, I = 18, hkl 0 2 0; 33.77°, I = 20, hkl 2 0 0; 35.18°, I = 82, hkl 1 1 2; 42.69°, I = 26, hkl 0 2 2; 42.93°, I = 24, hkl 2 0 2; 48.29°, I = 18, hkl 2 2 0; 55.51°, I = 18, hkl 2 2 2; 58.65°, I = 17, hkl 1 1 4

Atomic structure:
Cell: 5.3078 5.3538 6.9287 Å, 90.00 90.00 90.00°
Space group Pccm (No. 49)
One atom of each set of equivalent atoms:
Sr  0.0000  0.0000  0.2500 [2 per cell]
Nd  0.5000  0.5000  0.2500 [2 per cell]
Be  0.5000  0.0000  0.0000 [2 per cell]
N  0.3207  0.2270  0.0000 [4 per cell]

***

Structure and theoretical powder XRD pattern of LiSb4Pd5 (the PBE geometry in Alexandria; a wavelength of 1.5418 Å).

Top 10 peaks for 2θ from 10° to 90°, sorted by position:
14.61°, I = 36, hkl 1 1 0; 21.98°, I = 36, hkl 2 0 0; 25.42°, I = 74, hkl 0 2 1; 27.51°, I = 38, hkl 2 0 1; 34.71°, I = 58, hkl 3 1 0; 38.53°, I = 89, hkl 0 2 2; 39.29°, I = 37, hkl 0 4 0; 42.32°, I = 100, hkl 3 2 1; 44.81°, I = 82, hkl 2 2 2; 48.03°, I = 45, hkl 3 3 1

Atomic structure:
Cell: 8.0812 9.1717 5.4323 Å, 90.00 90.00 90.00°
Space group Pmmn (No. 59, origin choice 2)
One atom of each set of equivalent atoms:
Li  0.2500  0.2500  0.0333 [2 per cell]
Sb  0.0684  0.2500  0.5279 [4 per cell]
Sb  0.2500  0.5891  0.8742 [4 per cell]
Pd  0.0543  0.0033  0.2530 [8 per cell]
Pd  0.2500  0.7500  0.3353 [2 per cell]

***

Structure and theoretical powder XRD pattern of LaTh8 (the PBE geometry in Alexandria; a wavelength of 1.5418 Å).

Top 10 peaks for 2θ from 10° to 90°, sorted by position:
29.57°, I = 65, hkl 3 3 0; 32.68°, I = 100, hkl 3 0 1; 42.31°, I = 25, hkl 6 0 0; 54.46°, I = 48, hkl 6 3 1; 60.19°, I = 18, hkl 3 3 2; 61.37°, I = 8, hkl 6 6 0; 68.48°, I = 12, hkl 6 0 2; 69.58°, I = 12, hkl 9 3 0; 71.29°, I = 11, hkl 9 0 1; 86.54°, I = 14, hkl 9 6 1

Atomic structure:
Cell: 12.8176 12.8176 3.5716 Å, 90.00 90.00 90.00°
Space group I4/mmm (No. 139)
One atom of each set of equivalent atoms:
La  0.0000  0.0000  0.0000 [2 per cell]
Th  0.0000  0.3340  0.0000 [8 per cell]
Th  0.1698  0.1698  0.5000 [8 per cell]

***

Structure and theoretical powder XRD pattern of LaTc2Ge2P (the PBE geometry in Alexandria; a wavelength of 1.5418 Å).

Top 10 peaks for 2θ from 10° to 90°, sorted by position:
31.39°, I = 13, hkl 0 0 2; 32.34°, I = 100, hkl 1 1 1; 37.40°, I = 60, hkl 1 0 2; 40.28°, I = 67, hkl 2 0 0; 42.68°, I = 13, hkl 1 1 2; 51.94°, I = 12, hkl 2 0 2; 56.13°, I = 36, hkl 2 1 2; 58.28°, I = 22, hkl 2 2 0; 68.25°, I = 22, hkl 3 1 1; 79.78°, I = 16, hkl 2 0 4

Atomic structure:
Cell: 4.4779 4.4779 5.6999 Å, 90.00 90.00 90.00°
Space group P4/mmm (No. 123)
One atom of each set of equivalent atoms:
La  0.0000  0.0000  0.0000 [1 per cell]
Tc  0.0000  0.5000  0.5000 [2 per cell]
Ge  0.5000  0.5000  0.2259 [2 per cell]
P  0.0000  0.0000  0.5000 [1 per cell]

***

Structure and theoretical powder XRD pattern of GaBi2Pb (the PBE geometry in Alexandria; a wavelength of 1.5418 Å).

Top 10 peaks for 2θ from 10° to 90°, sorted by position:
22.56°, I = 100, hkl 1 1 2; 29.94°, I = 13, hkl 2 1 1; 37.17°, I = 25, hkl 2 2 0; 37.31°, I = 53, hkl 2 0 4; 43.92°, I = 31, hkl 3 1 2; 44.15°, I = 18, hkl 1 1 6; 53.59°, I = 8, hkl 4 0 0; 59.05°, I = 13, hkl 3 1 6; 67.11°, I = 15, hkl 4 2 4; 67.37°, I = 9, hkl 2 2 8

Atomic structure:
Cell: 6.8410 6.8410 13.5890 Å, 90.00 90.00 90.00°
Space group I-42d (No. 122)
One atom of each set of equivalent atoms:
Ga  0.0000  0.0000  0.0000 [4 per cell]
Bi  0.2110  0.2500  0.1250 [8 per cell]
Pb  0.0000  0.0000  0.5000 [4 per cell]

***

Structure and theoretical powder XRD pattern of CeZrTe2 (the PBE geometry in Alexandria; a wavelength of 1.5418 Å).

Top 10 peaks for 2θ from 10° to 90°, sorted by position:
34.12°, I = 100, hkl 1 0 2; 34.45°, I = 50, hkl 1 1 0; 48.53°, I = 8, hkl 0 0 4; 49.51°, I = 18, hkl 2 0 0; 60.87°, I = 17, hkl 1 1 4; 61.50°, I = 36, hkl 2 1 2; 71.85°, I = 10, hkl 2 0 4; 81.24°, I = 6, hkl 1 0 6; 82.73°, I = 8, hkl 3 0 2; 82.92°, I = 8, hkl 3 1 0

Atomic structure:
Cell: 3.6821 3.6821 7.5032 Å, 90.00 90.00 90.00°
Space group P4/mmm (No. 123)
One atom of each set of equivalent atoms:
Ce  0.0000  0.0000  0.0000 [1 per cell]
Zr  0.0000  0.0000  0.5000 [1 per cell]
Te  0.5000  0.5000  0.2695 [2 per cell]

***

Structure and theoretical powder XRD pattern of Tm3Mg5 (the PBE geometry in Alexandria; a wavelength of 1.5418 Å).

Top 10 peaks for 2θ from 10° to 90°, sorted by position:
10.13°, I = 16, hkl 0 0 2; 15.22°, I = 46, hkl 0 0 3; 25.51°, I = 15, hkl 0 0 5; 26.47°, I = 53, hkl 1 0 1; 33.21°, I = 100, hkl 1 0 4; 37.05°, I = 37, hkl 1 1 0; 40.26°, I = 17, hkl 1 1 3; 41.37°, I = 13, hkl 0 0 8; 56.73°, I = 21, hkl 1 1 8; 64.34°, I = 29, hkl 2 1 4

Atomic structure:
Cell: 3.4319 3.4319 17.4594 Å, 90.00 90.00 90.00°
Space group P4/mmm (No. 123)
One atom of each set of equivalent atoms:
Tm  0.0000  0.0000  0.0000 [1 per cell]
Tm  0.5000  0.5000  0.3732 [2 per cell]
Mg  0.0000  0.0000  0.2432 [2 per cell]
Mg  0.0000  0.0000  0.5000 [1 per cell]
Mg  0.5000  0.5000  0.1307 [2 per cell]

***

Structure and theoretical powder XRD pattern of PrNd2MgTl4 (the PBE geometry in Alexandria; a wavelength of 1.5418 Å).

Top 10 peaks for 2θ from 10° to 90°, sorted by position:
23.03°, I = 18, hkl 1 0 4; 32.23°, I = 100, hkl 0 1 8; 33.34°, I = 96, hkl 1 1 0; 47.05°, I = 35, hkl 2 0 8; 56.76°, I = 18, hkl 1 0 16; 58.89°, I = 36, hkl 1 2 8; 59.59°, I = 18, hkl 3 0 0; 70.03°, I = 11, hkl 2 2 0; 77.35°, I = 14, hkl 2 1 16; 79.19°, I = 16, hkl 3 1 8

Atomic structure:
Cell: 5.3745 5.3745 27.6873 Å, 90.00 90.00 120.00°
Space group R-3m (No. 166, hexagonal axes)
One atom of each set of equivalent atoms:
Pr  0.0000  0.0000  0.0000 [3 per cell]
Nd  0.0000  0.0000  0.2413 [6 per cell]
Mg  0.0000  0.0000  0.5000 [3 per cell]
Tl  0.0000  0.0000  0.1237 [6 per cell]
Tl  0.0000  0.0000  0.3759 [6 per cell]

***

Structure and theoretical powder XRD pattern of HfAlGa2 (the PBE geometry in Alexandria; a wavelength of 1.5418 Å).

Top 10 peaks for 2θ from 10° to 90°, sorted by position:
19.80°, I = 100, hkl 1 0 1; 32.27°, I = 46, hkl 1 1 2; 33.13°, I = 57, hkl 1 2 1; 36.18°, I = 39, hkl 2 1 1; 36.50°, I = 81, hkl 0 2 2; 40.03°, I = 51, hkl 0 1 3; 40.22°, I = 79, hkl 2 0 2; 41.17°, I = 88, hkl 2 2 0; 41.93°, I = 34, hkl 0 3 1; 65.48°, I = 41, hkl 2 3 3

Atomic structure:
Cell: 5.7506 6.7772 7.1651 Å, 90.00 90.00 90.00°
Space group Imma (No. 74)
One atom of each set of equivalent atoms:
Hf  0.0000  0.2500  0.0654 [4 per cell]
Al  0.0000  0.2500  0.4630 [4 per cell]
Ga  0.2500  0.0542  0.7500 [8 per cell]

***

Structure and theoretical powder XRD pattern of V2PW (the PBE geometry in Alexandria; a wavelength of 1.5418 Å).

Top 10 peaks for 2θ from 10° to 90°, sorted by position:
17.67°, I = 100, hkl 0 0 1; 23.84°, I = 34, hkl 1 1 0; 30.17°, I = 59, hkl 1 -1 0; 35.04°, I = 45, hkl -1 1 1; 35.77°, I = 46, hkl 0 0 2; 38.67°, I = 49, hkl 0 2 0; 39.16°, I = 40, hkl 1 2 0; 43.03°, I = 76, hkl 1 1 2; 43.20°, I = 49, hkl 2 0 -1; 43.71°, I = 40, hkl 2 1 -1

Atomic structure:
Cell: 4.7442 4.7836 5.0215 Å, 88.75 89.45 76.83°
Space group P1 (No. 1)
One atom of each set of equivalent atoms:
V  0.0000  0.0000  0.0000 [1 per cell]
V  0.0121  0.9913  0.4756 [1 per cell]
V  0.1378  0.4705  0.2238 [1 per cell]
V  0.6301  0.5452  0.2743 [1 per cell]
P  0.3659  0.6482  0.7961 [1 per cell]
P  0.5250  0.0593  0.2191 [1 per cell]
W  0.4758  0.1323  0.7029 [1 per cell]
W  0.8900  0.5209  0.7389 [1 per cell]

***

Structure and theoretical powder XRD pattern of La6AgPt2Br3 (the PBE geometry in Alexandria; a wavelength of 1.5418 Å).

Top 10 peaks for 2θ from 10° to 90°, sorted by position:
11.43°, I = 22, hkl 2 0 -1; 28.39°, I = 100, hkl 1 1 -2; 36.20°, I = 11, hkl 8 0 -1; 39.21°, I = 12, hkl 2 0 -4; 39.33°, I = 23, hkl 7 1 -2; 41.85°, I = 36, hkl 0 2 0; 51.39°, I = 13, hkl 6 2 0; 58.70°, I = 7, hkl 2 2 -4; 64.75°, I = 8, hkl 8 2 -4; 68.32°, I = 16, hkl 1 3 -2

Atomic structure:
Cell: 19.8426 4.3148 9.2260 Å, 90.00 108.35 90.00°
Space group C2/m (No. 12)
One atom of each set of equivalent atoms:
La  0.0124  0.0000  0.2483 [4 per cell]
La  0.1624  0.5000  0.1110 [4 per cell]
La  0.1784  0.5000  0.5560 [4 per cell]
Ag  0.0000  0.5000  0.0000 [2 per cell]
Pt  0.1664  0.0000  0.3307 [4 per cell]
Br  0.0000  0.5000  0.5000 [2 per cell]
Br  0.1641  0.0000  0.8316 [4 per cell]

***

Structure and theoretical powder XRD pattern of V3Zn3C (the PBE geometry in Alexandria; a wavelength of 1.5418 Å).

Top 10 peaks for 2θ from 10° to 90°, sorted by position:
13.69°, I = 11, hkl 1 1 1; 31.96°, I = 8, hkl 4 0 0; 39.40°, I = 27, hkl 4 2 2; 41.90°, I = 100, hkl 3 3 3; 45.82°, I = 21, hkl 4 4 0; 48.05°, I = 9, hkl 5 3 1; 48.77°, I = 13, hkl 4 4 2; 56.95°, I = 8, hkl 4 4 4; 71.45°, I = 25, hkl 6 6 0; 86.42°, I = 18, hkl 9 3 3

Atomic structure:
Cell: 11.2027 11.2027 11.2027 Å, 90.00 90.00 90.00°
Space group Fd-3m (No. 227, origin choice 2)
One atom of each set of equivalent atoms:
V  0.0503  0.3750  0.3750 [48 per cell]
Zn  0.0000  0.0000  0.5000 [16 per cell]
Zn  0.0389  0.0389  0.7111 [32 per cell]
C  0.0000  0.0000  0.0000 [16 per cell]